# 1
This entry pairs a crystal structure of Dy8Hg4PSe3 with its calculated PXRD pattern. Radiation: λ = 1.5418 Å (Cu Kα). Structure: a GGA-PBE-relaxed structure.
Peak positions follow from Bragg's law for the DFT cell and can differ from measured ones.

Most intense lines, 2θ from 10° to 90°, in order of rising 2θ:
Position (°2θ)  d_spacing  I/Imax
30.39  2.941  100
32.64  2.744  12
41.13  2.195  41
45.74  1.984  11
45.82  1.980  22
55.91  1.645  12
59.10  1.563  11
63.23  1.471  11
68.31  1.373  10
75.14  1.264  10

Structure:
a = 7.922 Å, b = 7.922 Å, c = 8.873 Å
α = 116.41°, β = 116.41°, γ = 60.11°
Fractional positions:
Dy 0.235 0.235 0.721
Dy 0.235 0.751 0.721
Dy 0.249 0.765 0.279
Dy 0.257 0.257 0.272
Dy 0.743 0.743 0.728
Dy 0.751 0.235 0.721
Dy 0.765 0.249 0.279
Dy 0.765 0.765 0.279
Hg 0.000 0.000 0.000
Hg 0.000 0.500 0.000
Hg 0.500 0.000 0.000
Hg 0.500 0.500 0.000
P 0.000 0.000 0.500
Se 0.000 0.500 0.500
Se 0.500 0.000 0.500
Se 0.500 0.500 0.500

# 2
This entry pairs a crystal structure of DyHg3Pb with its calculated PXRD pattern. Radiation: λ = 1.5418 Å (Cu Kα). Structure: a GGA-PBE-relaxed structure.
Peak positions follow from Bragg's law for the DFT cell and can differ from measured ones.

Most intense lines, 2θ from 10° to 90°, in order of rising 2θ:
Position (°2θ)  d_spacing  I/Imax
32.61  2.746  100
33.31  2.690  99
36.63  2.453  37
38.49  2.339  32
39.57  2.278  32
55.05  1.668  35
56.39  1.632  21
63.00  1.475  14
64.28  1.449  14
67.83  1.382  13

Structure:
a = 9.139 Å, b = 9.139 Å, c = 6.673 Å
α = 103.15°, β = 103.15°, γ = 28.86°
Fractional positions:
Dy 0.117 0.117 0.061
Dy 0.883 0.883 0.939
Hg 0.101 0.101 0.552
Hg 0.294 0.294 0.652
Hg 0.303 0.303 0.166
Hg 0.697 0.697 0.834
Hg 0.706 0.706 0.348
Hg 0.899 0.899 0.448
Pb 0.498 0.498 0.762
Pb 0.502 0.502 0.238

# 3
This entry pairs a crystal structure of Dy3Hg2Pb3 with its calculated PXRD pattern. Radiation: λ = 1.5418 Å (Cu Kα). Structure: a GGA-PBE-relaxed structure.
Peak positions follow from Bragg's law for the DFT cell and can differ from measured ones.

Most intense lines, 2θ from 10° to 90°, in order of rising 2θ:
Position (°2θ)  d_spacing  I/Imax
32.57  2.749  100
34.75  2.581  19
38.51  2.337  17
39.93  2.258  15
52.84  1.733  12
56.68  1.624  11
60.93  1.521  12
65.94  1.417  14
67.88  1.381  12
68.23  1.375  11

Structure:
a = 4.516 Å, b = 4.675 Å, c = 20.650 Å
α = 90.00°, β = 90.00°, γ = 90.00°
Fractional positions:
Dy 0.000 0.000 0.000
Dy 0.000 0.500 0.358
Dy 0.000 0.500 0.642
Dy 0.500 0.000 0.142
Dy 0.500 0.000 0.858
Dy 0.500 0.500 0.500
Hg 0.000 0.000 0.255
Hg 0.000 0.000 0.745
Hg 0.500 0.500 0.245
Hg 0.500 0.500 0.755
Pb 0.000 0.000 0.500
Pb 0.000 0.500 0.123
Pb 0.000 0.500 0.877
Pb 0.500 0.000 0.377
Pb 0.500 0.000 0.623
Pb 0.500 0.500 0.000

# 4
This entry pairs a crystal structure of Sm2DyHg2Pb2 with its calculated PXRD pattern. Radiation: λ = 1.5418 Å (Cu Kα). Structure: a GGA-PBE-relaxed structure.
Peak positions follow from Bragg's law for the DFT cell and can differ from measured ones.

Most intense lines, 2θ from 10° to 90°, in order of rising 2θ:
Position (°2θ)  d_spacing  I/Imax
30.76  2.907  100
35.19  2.550  82
40.65  2.219  8
47.42  1.917  31
51.67  1.769  15
60.41  1.532  30
63.15  1.472  17
74.40  1.275  10
75.25  1.263  10
82.63  1.168  13

Structure:
a = 9.479 Å, b = 9.479 Å, c = 9.479 Å
α = 31.22°, β = 31.22°, γ = 31.22°
Fractional positions:
Sm 0.130 0.130 0.130
Sm 0.870 0.870 0.870
Dy 0.000 0.000 0.000
Hg 0.433 0.433 0.433
Hg 0.567 0.567 0.567
Pb 0.276 0.276 0.276
Pb 0.724 0.724 0.724